1.
KCaCd2Au: computed powder diffractogram (λ = 1.5418 Å (Cu Kα)), based on DFT lattice parameters and positions (PBE).

```
KCaCd2Au
1.0
5.4658 0.0000 0.0000
0.0000 5.4658 0.0000
0.0000 0.0000 5.6069
K Ca Cd Au
1 1 2 1
Direct
0.0000 0.0000 0.0000
0.5000 0.5000 0.0000
0.0000 0.5000 0.5000
0.5000 0.0000 0.5000
0.5000 0.5000 0.5000
```

Top 6 peaks for 10 to 90 degrees two-theta, in order of rising 2θ:
d 5.607, 15.81 deg, I = 100; d 5.466, 16.22 deg, I = 64; d 3.914, 22.72 deg, I = 57; d 2.733, 32.77 deg, I = 79; d 2.457, 36.58 deg, I = 54; d 1.957, 46.40 deg, I = 59



2.
Mg4NiAg2: computed powder diffractogram (λ = 1.5418 Å (Cu Kα)), based on DFT lattice parameters and positions (PBE).

```
Mg4NiAg2
1.0
2.2787 1.3156 7.4204
-2.2787 1.3156 7.4204
0.0000 -2.6312 7.4204
Mg Ni Ag
4 1 2
Direct
0.1246 0.1246 0.1246
0.3746 0.3746 0.3746
0.6254 0.6254 0.6254
0.8754 0.8754 0.8754
0.5000 0.5000 0.5000
0.2467 0.2467 0.2467
0.7533 0.7533 0.7533
```

Top 6 peaks for 10 to 90 degrees two-theta, in order of rising 2θ:
d 3.717, 23.94 deg, I = 42; d 3.219, 27.71 deg, I = 30; d 2.276, 39.59 deg, I = 100; d 1.942, 46.77 deg, I = 15; d 1.610, 57.23 deg, I = 16; d 1.315, 71.78 deg, I = 24



3.
RbTi2P3O12: computed powder diffractogram (λ = 1.5418 Å (Cu Kα)), based on DFT lattice parameters and positions (PBE).

```
RbTi2P3O12
1.0
4.2191 2.4359 7.9330
-4.2191 2.4359 7.9330
0.0000 -4.8718 7.9330
Rb Ti P O
2 4 6 24
Direct
0.0000 0.0000 0.0000
0.5000 0.5000 0.5000
0.1509 0.1509 0.1509
0.3491 0.3491 0.3491
0.6509 0.6509 0.6509
0.8491 0.8491 0.8491
0.0299 0.7500 0.4701
0.2500 0.5299 0.9701
0.4701 0.0299 0.7500
0.5299 0.9701 0.2500
0.7500 0.4701 0.0299
0.9701 0.2500 0.5299
0.0118 0.7386 0.6522
0.0684 0.6980 0.9295
0.0705 0.9316 0.3020
0.1522 0.2386 0.5118
0.1980 0.5684 0.4295
0.2386 0.5118 0.1522
0.2614 0.3478 0.9882
0.3020 0.0705 0.9316
0.3478 0.9882 0.2614
0.4295 0.1980 0.5684
0.4316 0.5705 0.8020
0.4882 0.8478 0.7614
0.5118 0.1522 0.2386
0.5684 0.4295 0.1980
0.5705 0.8020 0.4316
0.6522 0.0118 0.7386
0.6980 0.9295 0.0684
0.7386 0.6522 0.0118
0.7614 0.4882 0.8478
0.8020 0.4316 0.5705
0.8478 0.7614 0.4882
0.9295 0.0684 0.6980
0.9316 0.3020 0.0705
0.9882 0.2614 0.3478
```

Top 6 peaks for 10 to 90 degrees two-theta, in order of rising 2θ:
d 4.219, 21.06 deg, I = 68; d 3.725, 23.89 deg, I = 72; d 2.890, 30.94 deg, I = 100; d 2.691, 33.30 deg, I = 18; d 2.436, 36.90 deg, I = 22; d 1.863, 48.90 deg, I = 30



4.
Rb3CeY2S6: computed powder diffractogram (λ = 1.5418 Å (Cu Kα)), based on DFT lattice parameters and positions (PBE).

```
Rb3CeY2S6
1.0
3.5877 -6.2142 0.0000
3.5877 6.2142 0.0000
-2.3926 0.0000 7.6834
Rb Ce Y S
3 1 2 6
Direct
0.0000 0.0000 0.0000
0.3340 0.6660 0.0000
0.6660 0.3340 0.0000
0.5000 0.5000 0.5000
0.1667 0.8333 0.5000
0.8333 0.1667 0.5000
0.0943 0.4356 0.3067
0.2232 0.2232 0.6932
0.4356 0.0943 0.3067
0.5644 0.9057 0.6933
0.7768 0.7768 0.3068
0.9057 0.5644 0.6933
```

Top 6 peaks for 10 to 90 degrees two-theta, in order of rising 2θ:
d 3.842, 23.15 deg, I = 19; d 3.426, 26.01 deg, I = 34; d 3.046, 29.32 deg, I = 100; d 2.246, 40.14 deg, I = 35; d 2.071, 43.70 deg, I = 34; d 1.713, 53.50 deg, I = 17



5.
Zr2Be4Co5: computed powder diffractogram (λ = 1.5418 Å (Cu Kα)), based on DFT lattice parameters and positions (PBE).

```
Zr2Be4Co5
1.0
0.0000 4.1389 6.1033
2.5600 0.0000 6.1033
2.5600 4.1389 0.0000
Zr Be Co
2 4 5
Direct
0.1348 0.1348 0.8652
0.8652 0.8652 0.1348
0.2191 0.5112 0.4888
0.4888 0.7809 0.2191
0.5112 0.2191 0.7809
0.7809 0.4888 0.5112
0.0000 0.0000 0.5000
0.2500 0.2500 0.2500
0.5000 0.5000 0.0000
0.5000 0.5000 0.5000
0.7500 0.7500 0.7500
```

Top 6 peaks for 10 to 90 degrees two-theta, in order of rising 2θ:
d 2.973, 30.06 deg, I = 84; d 2.456, 36.58 deg, I = 78; d 2.177, 41.48 deg, I = 100; d 2.086, 43.39 deg, I = 40; d 2.069, 43.74 deg, I = 40; d 1.961, 46.29 deg, I = 46



6.
NaAlSi: computed powder diffractogram (λ = 1.5418 Å (Cu Kα)), based on DFT lattice parameters and positions (PBE).

```
NaAlSi
1.0
7.4571 0.0000 0.0000
0.0000 4.2718 0.0000
0.0000 0.0000 7.4704
Na Al Si
4 4 4
Direct
0.0088 0.2500 0.1674
0.4912 0.7500 0.6674
0.5088 0.2500 0.3326
0.9912 0.7500 0.8326
0.1513 0.2500 0.5780
0.3487 0.7500 0.0780
0.6513 0.2500 0.9220
0.8487 0.7500 0.4220
0.1971 0.7500 0.3918
0.3029 0.2500 0.8918
0.6971 0.7500 0.1082
0.8029 0.2500 0.6082
```

Top 6 peaks for 10 to 90 degrees two-theta, in order of rising 2θ:
d 2.630, 34.09 deg, I = 100; d 2.359, 38.15 deg, I = 35; d 2.151, 42.00 deg, I = 22; d 2.136, 42.31 deg, I = 25; d 1.583, 58.27 deg, I = 19; d 1.410, 66.31 deg, I = 14



7.
TaV6Re5: computed powder diffractogram (λ = 1.5418 Å (Cu Kα)), based on DFT lattice parameters and positions (PBE).

```
TaV6Re5
1.0
-2.1643 3.0563 6.4786
2.1643 -3.0563 6.4786
2.1643 3.0563 -6.4786
Ta V Re
1 6 5
Direct
0.0000 0.0000 0.0000
0.0833 0.8315 0.2518
0.2540 0.5000 0.7540
0.4202 0.1685 0.2518
0.5798 0.8315 0.7482
0.7460 0.5000 0.2460
0.9167 0.1685 0.7482
0.1674 0.6674 0.5000
0.3334 0.3334 0.0000
0.5000 0.0000 0.5000
0.6666 0.6666 0.0000
0.8326 0.3326 0.5000
```

Top 6 peaks for 10 to 90 degrees two-theta, in order of rising 2θ:
d 3.057, 29.21 deg, I = 42; d 2.162, 41.79 deg, I = 100; d 1.529, 60.58 deg, I = 16; d 1.367, 68.64 deg, I = 14; d 1.249, 76.24 deg, I = 17; d 1.247, 76.35 deg, I = 17



8.
YMn2Cd: computed powder diffractogram (λ = 1.5418 Å (Cu Kα)), based on DFT lattice parameters and positions (PBE).

```
YMn2Cd
1.0
4.5235 0.0000 0.0000
0.0000 3.2053 0.0000
0.0000 0.0000 11.0868
Y Mn Cd
2 4 2
Direct
0.0000 0.0000 0.0000
0.0000 0.5000 0.5000
0.0000 0.0000 0.2699
0.0000 0.5000 0.7699
0.5000 0.0000 0.3942
0.5000 0.5000 0.8942
0.5000 0.0000 0.6710
0.5000 0.5000 0.1710
```

Top 6 peaks for 10 to 90 degrees two-theta, in order of rising 2θ:
d 3.505, 25.41 deg, I = 25; d 2.545, 35.26 deg, I = 100; d 2.421, 37.13 deg, I = 56; d 2.363, 38.08 deg, I = 67; d 2.262, 39.86 deg, I = 37; d 1.653, 55.60 deg, I = 33



9.
Hg3TeAs: computed powder diffractogram (λ = 1.5418 Å (Cu Kα)), based on DFT lattice parameters and positions (PBE).

```
Hg3TeAs
1.0
3.6176 2.0886 6.6786
-3.6176 2.0886 6.6786
0.0000 -4.1773 6.6786
Hg Te As
6 2 2
Direct
0.0437 0.3001 0.6562
0.1562 0.8001 0.5437
0.3001 0.6562 0.0437
0.5437 0.1562 0.8001
0.6562 0.0437 0.3001
0.8001 0.5437 0.1562
0.1064 0.1064 0.1064
0.6064 0.6064 0.6064
0.4115 0.4115 0.4115
0.9115 0.9115 0.9115
```

Top 6 peaks for 10 to 90 degrees two-theta, in order of rising 2θ:
d 3.339, 26.70 deg, I = 16; d 3.181, 28.05 deg, I = 100; d 2.454, 36.62 deg, I = 42; d 2.089, 43.32 deg, I = 32; d 1.896, 47.98 deg, I = 24; d 1.746, 52.41 deg, I = 13



10.
Fe2B3: computed powder diffractogram (λ = 1.5418 Å (Cu Kα)), based on DFT lattice parameters and positions (PBE).

```
Fe2B3
1.0
2.9621 0.0000 0.0000
0.0000 4.0547 0.0000
0.0000 0.0000 6.0321
Fe B
4 6
Direct
0.0000 0.0000 0.2112
0.0000 0.0000 0.7888
0.5000 0.5000 0.2888
0.5000 0.5000 0.7112
0.0000 0.2795 0.5000
0.0000 0.5000 0.0000
0.0000 0.7205 0.5000
0.5000 0.0000 0.5000
0.5000 0.2205 0.0000
0.5000 0.7795 0.0000
```

Top 6 peaks for 10 to 90 degrees two-theta, in order of rising 2θ:
d 3.016, 29.62 deg, I = 51; d 2.392, 37.61 deg, I = 97; d 2.027, 44.70 deg, I = 31; d 1.874, 48.58 deg, I = 100; d 1.801, 50.68 deg, I = 23; d 1.683, 54.54 deg, I = 32